1.
Starting from a structure optimized by DFT (GGA-PBE), the X-ray powder pattern of Ta3Rh was calculated for Cu Ka.
Kinematic intensities with the Lorentz-polarization factor, no thermal factor.

Structural model:
Lattice parameters (Å, degrees): 2.8541 4.5912 5.3178 90.00 100.84 90.00
Sites, in units of the cell vectors:
Ta: 0.0000 0.0000 0.0000
Ta: 0.2537 0.5000 0.7519
Ta: 0.7463 0.5000 0.2481
Rh: 0.5000 0.0000 0.5000

Largest 10 diffraction maxima, in order of falling intensity, 5° ≤ 2θ ≤ 70°:
d_spacing, intensity
2.321, 100
2.296, 97
2.270, 94
1.623, 50
1.345, 9
5.223, 5
4.591, 3
3.448, 3
2.392, 2
2.102, 1


2.
Starting from a structure optimized by DFT (GGA-PBE), the X-ray powder pattern of Tb2Er3ThTe6 was calculated for Cu Ka.
Kinematic intensities with the Lorentz-polarization factor, no thermal factor.

Structural model:
Lattice parameters (Å, degrees): 9.9305 9.9305 8.8861 106.26 106.26 24.91
Sites, in units of the cell vectors:
Tb: 0.1567 0.1567 0.3109
Tb: 0.8433 0.8433 0.6891
Er: 0.1624 0.1624 0.8231
Er: 0.5000 0.5000 0.5000
Er: 0.8376 0.8376 0.1769
Th: 0.5000 0.5000 0.0000
Te: 0.0032 0.0032 0.7389
Te: 0.3274 0.3274 0.9273
Te: 0.3302 0.3302 0.4225
Te: 0.6698 0.6698 0.5775
Te: 0.6726 0.6726 0.0727
Te: 0.9968 0.9968 0.2611

Largest 10 diffraction maxima, in order of falling intensity, 5° ≤ 2θ ≤ 70°:
d_spacing, intensity
3.081, 100
2.141, 52
3.096, 49
2.231, 40
1.762, 19
2.218, 19
1.541, 13
1.857, 11
1.403, 9
1.754, 9


3.
Starting from a structure optimized by DFT (GGA-PBE), the X-ray powder pattern of AcLaSb2Pd5 was calculated for Cu Ka.
Kinematic intensities with the Lorentz-polarization factor, no thermal factor.

Structural model:
Lattice parameters (Å, degrees): 4.5270 4.5270 9.7564 90.00 90.00 90.00
Sites, in units of the cell vectors:
Ac: 0.0000 0.0000 0.0000
La: 0.0000 0.0000 0.5000
Sb: 0.5000 0.5000 0.3491
Sb: 0.5000 0.5000 0.6509
Pd: 0.0000 0.5000 0.2128
Pd: 0.0000 0.5000 0.7872
Pd: 0.5000 0.0000 0.2128
Pd: 0.5000 0.0000 0.7872
Pd: 0.5000 0.5000 0.0000

Largest 10 diffraction maxima, in order of falling intensity, 5° ≤ 2θ ≤ 70°:
d_spacing, intensity
2.676, 100
2.264, 67
2.281, 52
3.318, 31
1.374, 25
1.601, 23
9.756, 19
2.147, 17
1.450, 14
1.558, 13


Question: What is the formula in the third record?
Answer: AcLaSb2Pd5


Repeat the third record exactly.
Starting from a structure optimized by DFT (GGA-PBE), the X-ray powder pattern of AcLaSb2Pd5 was calculated for Cu Ka.
Kinematic intensities with the Lorentz-polarization factor, no thermal factor.

Structural model:
Lattice parameters (Å, degrees): 4.5270 4.5270 9.7564 90.00 90.00 90.00
Sites, in units of the cell vectors:
Ac: 0.0000 0.0000 0.0000
La: 0.0000 0.0000 0.5000
Sb: 0.5000 0.5000 0.3491
Sb: 0.5000 0.5000 0.6509
Pd: 0.0000 0.5000 0.2128
Pd: 0.0000 0.5000 0.7872
Pd: 0.5000 0.0000 0.2128
Pd: 0.5000 0.0000 0.7872
Pd: 0.5000 0.5000 0.0000

Largest 10 diffraction maxima, in order of falling intensity, 5° ≤ 2θ ≤ 70°:
d_spacing, intensity
2.676, 100
2.264, 67
2.281, 52
3.318, 31
1.374, 25
1.601, 23
9.756, 19
2.147, 17
1.450, 14
1.558, 13


What did the third record say?
Starting from a structure optimized by DFT (GGA-PBE), the X-ray powder pattern of AcLaSb2Pd5 was calculated for Cu Ka.
Kinematic intensities with the Lorentz-polarization factor, no thermal factor.

Structural model:
Lattice parameters (Å, degrees): 4.5270 4.5270 9.7564 90.00 90.00 90.00
Sites, in units of the cell vectors:
Ac: 0.0000 0.0000 0.0000
La: 0.0000 0.0000 0.5000
Sb: 0.5000 0.5000 0.3491
Sb: 0.5000 0.5000 0.6509
Pd: 0.0000 0.5000 0.2128
Pd: 0.0000 0.5000 0.7872
Pd: 0.5000 0.0000 0.2128
Pd: 0.5000 0.0000 0.7872
Pd: 0.5000 0.5000 0.0000

Largest 10 diffraction maxima, in order of falling intensity, 5° ≤ 2θ ≤ 70°:
d_spacing, intensity
2.676, 100
2.264, 67
2.281, 52
3.318, 31
1.374, 25
1.601, 23
9.756, 19
2.147, 17
1.450, 14
1.558, 13